No. 1
Computed powder diffractogram
Compound: Li3CrP2HO8
Radiation: a wavelength of 1.5418 Å
Structure: a cell relaxed with GGA+U
Peak positions follow from Bragg's law for the DFT cell and can differ from measured ones.

Crystal structure
```
15
Lattice="5.0338 0.0000 0.0000 -1.9555 4.7634 0.0000 -0.0649 -0.2293 6.2763" Properties=species:S:1:pos:R:3 pbc="T T T"
Li 0.0000 0.0000 0.0000
Li 0.0852 2.7998 4.6136
Li 2.9282 1.7343 1.6627
Cr -0.0324 -0.1147 3.1381
P 0.5464 3.0494 1.5524
P 2.4670 1.4847 4.7239
H 2.5169 0.0000 0.0000
O 0.5114 1.5238 1.3921
O -0.2894 3.4914 2.7733
O -0.0453 3.7491 0.2535
O 0.9844 1.0051 4.5902
O 2.0290 3.5290 1.6861
O 3.0587 0.7850 6.0227
O 3.3028 1.0427 3.5029
O 2.5020 3.0103 4.8842
```

Most intense lines, 2θ = 10–90°, in order of rising 2θ:
2θ 14.1, I 42; 2θ 23.0, I 92; 2θ 24.1, I 94; 2θ 25.5, I 100; 2θ 31.6, I 49; 2θ 33.6, I 57; 2θ 34.1, I 33; 2θ 34.8, I 42; 2θ 35.2, I 32; 2θ 35.9, I 38

=====

No. 2
Computed powder diffractogram
Compound: Li2CrPHO5
Radiation: a wavelength of 1.5418 Å
Structure: a cell relaxed with GGA+U
Peak positions follow from Bragg's law for the DFT cell and can differ from measured ones.

Crystal structure
```
40
Lattice="5.5471 0.0000 0.0000 0.0946 5.6214 0.0000 1.0108 1.8497 13.2642" Properties=species:S:1:pos:R:3 pbc="T T T"
Li 0.5971 2.8868 5.4161
Li 2.0688 4.8436 11.9857
Li 2.3620 6.3653 7.9103
Li 2.7285 0.8497 1.2138
Li 3.9239 6.6214 12.0504
Li 4.2904 1.1058 5.3539
Li 4.5836 2.6275 1.2785
Li 6.0553 4.5843 7.8482
Cr 0.0000 0.0000 0.0000
Cr 2.1701 2.7915 9.9512
Cr 3.3262 3.7355 6.6321
Cr 4.4823 4.6796 3.3131
P 1.7773 5.9614 5.0728
P 1.6431 3.3955 1.5600
P 5.0093 4.0756 11.7043
P 4.8752 1.5097 8.1914
H 1.3206 6.5128 10.8330
H 3.1101 4.6912 9.0592
H 3.5423 2.7799 4.2051
H 5.3318 0.9583 2.4312
O 0.3826 0.6840 4.3244
O 0.3967 3.4713 2.4852
O 1.9710 6.9164 11.4569
O 1.6084 4.5794 5.8217
O 1.3599 2.2632 0.5237
O 1.9657 1.4732 6.1075
O 1.8124 4.7784 0.8129
O 2.4599 4.2853 8.4413
O 3.0250 5.8847 4.1482
O 2.9436 3.0527 2.3065
O 3.7088 4.4184 10.9578
O 3.6274 1.5864 9.1161
O 4.1925 3.1858 4.8230
O 4.8400 2.6927 12.4514
O 4.6867 5.9979 7.1567
O 5.2925 5.2079 12.7406
O 5.0440 2.8917 7.4426
O 4.6814 0.5547 1.8074
O 6.2557 3.9998 10.7790
O 6.2698 6.7871 8.9399
```

Most intense lines, 2θ = 10–90°, in order of rising 2θ:
2θ 16.4, I 28; 2θ 18.1, I 37; 2θ 24.5, I 100; 2θ 26.7, I 73; 2θ 27.4, I 52; 2θ 36.3, I 25; 2θ 37.0, I 30; 2θ 37.7, I 38; 2θ 38.6, I 26; 2θ 48.9, I 25

=====

No. 3
Computed powder diffractogram
Compound: Li3Cr4PH3O16
Radiation: a wavelength of 1.5418 Å
Structure: a cell relaxed with GGA+U
Peak positions follow from Bragg's law for the DFT cell and can differ from measured ones.

Crystal structure
```
27
Lattice="5.0248 -6.1399 0.0000 5.0248 6.1399 0.0000 -2.6359 0.0000 7.3612" Properties=species:S:1:pos:R:3 pbc="T T T"
Li 0.0000 0.0000 0.0000
Li 4.8848 3.0711 5.0210
Li 4.8848 -3.0711 5.0210
Cr 0.2846 0.0000 5.3338
Cr 4.5129 0.0000 3.5660
Cr 7.5673 2.3800 0.6618
Cr 7.5673 -2.3800 0.6618
P 5.3105 0.0000 0.3509
H 2.6271 3.3651 4.9585
H 1.2392 0.0000 1.7648
H 2.6271 -3.3651 4.9585
O -0.1435 2.5348 6.9406
O 3.9522 4.5716 0.5063
O 2.3594 3.1909 2.1526
O 0.4253 1.3212 4.3928
O -1.1905 0.0000 6.0233
O 0.4253 -1.3212 4.3928
O 1.6057 0.0000 6.6198
O 2.9628 0.0000 3.9439
O -0.1435 -2.5348 6.9406
O 6.1766 1.2658 0.1734
O 4.6184 0.0000 1.7236
O 5.2117 1.3499 4.1835
O 2.3594 -3.1909 2.1526
O 6.1766 -1.2658 0.1734
O 5.2117 -1.3499 4.1835
O 3.9522 -4.5716 0.5063
```

Most intense lines, 2θ = 10–90°, in order of rising 2θ:
2θ 11.8, I 61; 2θ 14.4, I 39; 2θ 18.6, I 42; 2θ 18.8, I 89; 2θ 19.0, I 67; 2θ 23.6, I 100; 2θ 23.7, I 67; 2θ 23.9, I 46; 2θ 24.2, I 33; 2θ 25.1, I 39

=====

No. 4
Computed powder diffractogram
Compound: LiCrP2HO7
Radiation: a wavelength of 1.5418 Å
Structure: a cell relaxed with GGA+U
Peak positions follow from Bragg's law for the DFT cell and can differ from measured ones.

Crystal structure
```
24
Lattice="6.4395 0.0000 0.0000 -2.2572 6.1896 0.0000 -0.9020 -0.5591 6.9467" Properties=species:S:1:pos:R:3 pbc="T T T"
Li 0.9073 0.7992 0.9831
Li 2.3731 4.8313 5.9636
Cr -1.2738 4.2290 2.4443
Cr 4.5542 1.4015 4.5024
P -1.0916 4.3116 5.8294
P 1.3356 0.7077 4.2429
P 1.9448 4.9228 2.7038
P 4.3720 1.3189 1.1173
H 0.3306 2.6805 5.7888
H 2.9497 2.9500 1.1579
O -1.7941 3.4831 4.7620
O -1.1093 5.2655 0.0246
O 0.1409 1.3639 4.9619
O 0.9587 0.1040 2.8791
O -0.4696 5.6331 5.1855
O 0.2374 3.5727 6.3003
O 0.7356 4.0200 2.7157
O 2.5448 1.6105 4.2310
O 3.0429 2.0578 0.6464
O 3.7500 -0.0026 1.7612
O 2.3217 5.5265 4.0676
O 3.1395 4.2666 1.9848
O 4.3897 0.3649 6.9221
O 5.0745 2.1474 2.1848
```

Most intense lines, 2θ = 10–90°, in order of rising 2θ:
2θ 12.7, I 64; 2θ 16.6, I 77; 2θ 18.1, I 30; 2θ 27.7, I 25; 2θ 28.2, I 60; 2θ 28.5, I 100; 2θ 28.9, I 77; 2θ 29.7, I 33; 2θ 30.5, I 57; 2θ 44.1, I 21

=====

No. 5
Computed powder diffractogram
Compound: LiCr3P3H2O12
Radiation: a wavelength of 1.5418 Å
Structure: a cell relaxed with GGA+U
Peak positions follow from Bragg's law for the DFT cell and can differ from measured ones.

Crystal structure
```
42
Lattice="6.2883 -6.1406 0.0000 6.2883 6.1406 0.0000 -2.7658 0.0000 5.9928" Properties=species:S:1:pos:R:3 pbc="T T T"
Li 4.2140 5.9594 4.4946
Li 5.5969 -5.9594 1.4982
Cr 0.9298 1.9649 3.8165
Cr 5.5969 2.7245 1.4982
Cr 2.3126 -1.9649 0.8202
Cr 7.4983 1.9649 5.1726
Cr 4.2140 -2.7245 4.4946
Cr 8.8812 -1.9649 2.1762
P 2.3895 1.3384 0.6502
P 1.0067 -1.3384 3.6466
P 4.2140 2.1723 4.4946
P 5.5969 -2.1723 1.4982
P 8.8043 1.3384 2.3462
P 7.4214 -1.3384 5.3426
H 2.8343 0.0037 4.0908
H 4.2172 -0.0037 1.0944
H 5.5938 0.0037 4.8984
H 6.9766 -0.0037 1.9020
O 4.0600 4.0340 0.6769
O 1.8761 2.2022 1.8190
O 1.5877 0.0047 0.5167
O 0.2048 -0.0047 3.5131
O 4.4206 3.0651 3.2359
O 3.9278 1.0554 0.8639
O 4.0075 3.0651 5.7532
O 2.9655 1.2639 4.3562
O 7.1338 4.0340 2.3195
O 0.4932 -2.2022 4.8153
O 2.5449 -1.0554 3.8603
O 4.3484 -1.2639 1.3598
O 5.4625 1.2639 4.6330
O 7.2660 1.0554 2.1325
O 9.3177 2.2022 1.1774
O 2.6771 -4.0340 3.6733
O 6.8454 -1.2639 1.6366
O 5.8034 -3.0651 0.2396
O 5.8832 -1.0554 5.1289
O 5.3904 -3.0651 2.7568
O 9.6061 0.0047 2.4797
O 8.2233 -0.0047 5.4761
O 7.9348 -2.2022 4.1738
O 5.7510 -4.0340 5.3158
```

Most intense lines, 2θ = 10–90°, in order of rising 2θ:
2θ 14.4, I 89; 2θ 15.5, I 49; 2θ 24.5, I 42; 2θ 28.4, I 100; 2θ 29.3, I 28; 2θ 32.1, I 55; 2θ 33.1, I 90; 2θ 34.7, I 42; 2θ 35.2, I 22; 2θ 42.0, I 28

=====

No. 6
Computed powder diffractogram
Compound: Li4CrP6H8O22
Radiation: a wavelength of 1.5418 Å
Structure: a cell relaxed with GGA+U
Peak positions follow from Bragg's law for the DFT cell and can differ from measured ones.

Crystal structure
```
41
Lattice="7.0471 0.0000 0.0000 0.7766 7.5288 0.0000 1.8551 0.4838 8.2523" Properties=species:S:1:pos:R:3 pbc="T T T"
Li 0.9239 2.6720 0.6745
Li 3.9890 3.6511 6.0505
Li 5.6898 4.3615 2.2018
Li 8.7549 5.3406 7.5778
Cr 0.9276 0.2419 4.1261
P 3.0602 0.5519 6.6432
P 4.7877 5.8127 8.2103
P 3.9266 1.8073 2.7361
P 5.7522 6.2054 5.5162
P 4.8911 2.1999 0.0420
P 6.6187 7.4607 1.6091
H 1.2300 3.1237 3.1435
H 1.2575 4.5744 2.5911
H 2.9778 5.8926 2.5735
H 3.4042 5.7498 4.0862
H 6.2746 2.2628 4.1661
H 6.7011 2.1200 5.6788
H 8.4213 3.4382 5.6612
H 8.4488 4.8889 5.1088
O 1.8490 4.2891 5.7481
O 2.5881 7.4497 6.0786
O 2.6347 6.0331 3.5096
O 3.1044 2.0209 6.9277
O 3.6841 4.8322 7.8521
O 2.5737 1.6566 3.3397
O 4.2178 7.3220 8.0307
O 3.6042 5.2246 1.2820
O 5.1000 7.6897 5.6879
O 4.7674 5.2451 4.8986
O 3.7215 2.2323 1.1690
O 5.9574 5.7803 7.0833
O 4.9115 2.7675 3.3537
O 4.5788 0.3229 2.5644
O 6.0747 2.7880 6.9703
O 5.4610 0.6907 0.2216
O 7.1051 6.3560 4.9126
O 5.9948 3.1804 0.4002
O 6.5745 5.9917 1.3246
O 7.0441 1.9796 4.7427
O 7.0907 0.5630 2.1737
O 7.8298 3.7235 2.5042
```

Most intense lines, 2θ = 10–90°, in order of rising 2θ:
2θ 11.8, I 92; 2θ 15.5, I 81; 2θ 17.9, I 100; 2θ 18.5, I 49; 2θ 24.5, I 48; 2θ 27.3, I 61; 2θ 28.1, I 82; 2θ 29.8, I 54; 2θ 30.3, I 54; 2θ 35.7, I 54